Computed powder X-ray diffraction pattern
Compound: RbTlZnGeSe
Radiation: CuKα
Structure: a GGA-PBE-relaxed structure

Most intense lines, 15 to 90 degrees two-theta, in order of rising 2θ:
2θ = 20.13°, intensity 53.7
2θ = 21.62°, intensity 30.8
2θ = 29.56°, intensity 36.3
2θ = 30.35°, intensity 55.9
2θ = 30.45°, intensity 33.3
2θ = 31.49°, intensity 100.0
2θ = 32.50°, intensity 89.7
2θ = 38.21°, intensity 42.5
2θ = 40.45°, intensity 32.9
2θ = 50.38°, intensity 27.8

Crystal structure
```
RbTlZnGeSe
1.0
4.4729 0.0000 0.0000
0.0000 3.9313 0.0000
-0.6826 0.0000 8.8242
Rb Tl Zn Ge Se
1 1 1 1 1
direct
0.0000 0.0000 0.0000 Rb
0.0490 0.5000 0.4097 Tl
0.5110 0.0000 0.6401 Zn
0.5490 0.0000 0.3618 Ge
0.4600 0.5000 0.8007 Se
```